This entry pairs a crystal structure of Pm3Ga3Si2 with its simulated powder XRD pattern. Radiation: Cu Ka. Structure: a crystal structure in Alexandria, relaxed with PBE.
Peak positions follow from Bragg's law for the DFT cell and can differ from measured ones.

Most intense lines, 2θ = 15–90°, in order of rising 2θ:
- d = 3.817 Å, 2θ 23.30, I = 39, (0 2 3)
- d = 3.096 Å, 2θ 28.84, I = 81, (1 1 3)
- d = 2.757 Å, 2θ 32.47, I = 100, (1 3 0)
- d = 2.743 Å, 2θ 32.65, I = 86, (1 1 4)
- d = 2.717 Å, 2θ 32.97, I = 63, (1 3 1)
- d = 2.607 Å, 2θ 34.40, I = 78, (0 0 6)
- d = 2.087 Å, 2θ 43.36, I = 33, (0 4 5)
- d = 2.070 Å, 2θ 43.74, I = 49, (1 3 5)
- d = 2.048 Å, 2θ 44.24, I = 46, (2 0 0)
- d = 1.490 Å, 2θ 62.31, I = 31, (1 7 0)

Crystal structure
```
data_Pm3Ga3Si2
_chemical_formula_sum 'Pm12 Ga12 Si8'
_symmetry_space_group_name_H-M 'C m c m'
_symmetry_Int_Tables_number 63
_symmetry_space_group_name_Hall '-C 2c 2'
_cell_length_a 4.095
_cell_length_b 11.199
_cell_length_c 15.650
_cell_angle_alpha 90.00
_cell_angle_beta 90.00
_cell_angle_gamma 90.00
loop_
_atom_site_label
_atom_site_type_symbol
_atom_site_fract_x
_atom_site_fract_y
_atom_site_fract_z
_atom_site_occupancy
Pm1 Pm 0.000 0.063 0.250 1
Pm2 Pm 0.000 0.353 0.091 1
Ga1 Ga 0.000 0.071 0.058 1
Ga2 Ga 0.000 0.205 0.750 1
Si1 Si 0.000 0.352 0.621 1
```